(1)
Structure and computed PXRD pattern of Li3AlAg4 (a structure optimized by DFT (GGA-PBE); Cu Kα (weighted mean of Kα1 and Kα2)).

Main lines, most intense first (5° ≤ 2θ ≤ 70°):
- 2θ 39.46, I = 100.0
- 2θ 27.44, I = 91.9
- 2θ 40.81, I = 90.6
- 2θ 27.80, I = 88.8
- 2θ 29.28, I = 78.2
- 2θ 40.42, I = 46.6
- 2θ 40.69, I = 45.7
- 2θ 49.77, I = 33.9
- 2θ 50.00, I = 33.4
- 2θ 64.81, I = 22.0

Atomic structure:
a = 6.5011 Å, b = 6.4176 Å, c = 6.8942 Å
α = 90.00°, β = 117.75°, γ = 90.00°
Sites, in units of the cell vectors:
Li 0.0000 0.0000 0.0000
Li 0.2464 0.5000 0.4943
Li 0.2536 0.0000 0.5057
Li 0.5000 0.5000 0.0000
Li 0.7464 0.0000 0.4943
Li 0.7536 0.5000 0.5057
Al 0.0000 0.5000 0.0000
Al 0.5000 0.0000 0.0000
Ag 0.1250 0.2494 0.7497
Ag 0.1250 0.7506 0.7497
Ag 0.3750 0.2506 0.2503
Ag 0.3750 0.7494 0.2503
Ag 0.6250 0.2506 0.7497
Ag 0.6250 0.7494 0.7497
Ag 0.8750 0.2494 0.2503
Ag 0.8750 0.7506 0.2503


(2)
Structure and computed PXRD pattern of Li3AlAg3 (a structure optimized by DFT (GGA-PBE); Cu Kα (weighted mean of Kα1 and Kα2)).

Main lines, most intense first (5° ≤ 2θ ≤ 70°):
- 2θ 41.37, I = 100.0
- 2θ 27.88, I = 90.5
- 2θ 13.84, I = 65.9
- 2θ 29.94, I = 37.3
- 2θ 38.48, I = 31.0
- 2θ 41.15, I = 25.0
- 2θ 18.97, I = 24.2
- 2θ 57.60, I = 17.6
- 2θ 49.51, I = 17.6
- 2θ 33.12, I = 17.0

Atomic structure:
a = 6.4141 Å, b = 6.4141 Å, c = 5.9683 Å
α = 90.00°, β = 90.00°, γ = 93.69°
Sites, in units of the cell vectors:
Li 0.2028 0.2028 0.5000
Li 0.2212 0.2212 0.0000
Li 0.2476 0.7524 0.0000
Li 0.7524 0.2476 0.0000
Li 0.7788 0.7788 0.0000
Li 0.7972 0.7972 0.5000
Al 0.2568 0.7432 0.5000
Al 0.7432 0.2568 0.5000
Ag 0.0000 0.5000 0.2475
Ag 0.0000 0.5000 0.7525
Ag 0.5000 0.0000 0.2475
Ag 0.5000 0.0000 0.7525
Ag 0.5000 0.5000 0.2486
Ag 0.5000 0.5000 0.7514


Repeat the first record exactly.
Structure and computed PXRD pattern of Li3AlAg4 (a structure optimized by DFT (GGA-PBE); Cu Kα (weighted mean of Kα1 and Kα2)).

Main lines, most intense first (5° ≤ 2θ ≤ 70°):
- 2θ 39.46, I = 100.0
- 2θ 27.44, I = 91.9
- 2θ 40.81, I = 90.6
- 2θ 27.80, I = 88.8
- 2θ 29.28, I = 78.2
- 2θ 40.42, I = 46.6
- 2θ 40.69, I = 45.7
- 2θ 49.77, I = 33.9
- 2θ 50.00, I = 33.4
- 2θ 64.81, I = 22.0

Atomic structure:
a = 6.5011 Å, b = 6.4176 Å, c = 6.8942 Å
α = 90.00°, β = 117.75°, γ = 90.00°
Sites, in units of the cell vectors:
Li 0.0000 0.0000 0.0000
Li 0.2464 0.5000 0.4943
Li 0.2536 0.0000 0.5057
Li 0.5000 0.5000 0.0000
Li 0.7464 0.0000 0.4943
Li 0.7536 0.5000 0.5057
Al 0.0000 0.5000 0.0000
Al 0.5000 0.0000 0.0000
Ag 0.1250 0.2494 0.7497
Ag 0.1250 0.7506 0.7497
Ag 0.3750 0.2506 0.2503
Ag 0.3750 0.7494 0.2503
Ag 0.6250 0.2506 0.7497
Ag 0.6250 0.7494 0.7497
Ag 0.8750 0.2494 0.2503
Ag 0.8750 0.7506 0.2503